Calculated powder X-ray diffraction pattern
Compound: Ba2IBrF2
Radiation: Cu Kα X-rays
Structure: a structure optimized by DFT (GGA-PBE)

Atomic structure:
```
Ba2IBrF2
1.0
4.623 0.000 0.000
0.000 4.623 0.000
0.000 0.000 7.991
Ba I Br F
2 1 1 2
direct
0.000 0.000 0.000
0.500 0.500 0.358
0.500 0.500 0.814
0.000 0.000 0.513
0.000 0.500 0.176
0.500 0.000 0.176
```

The 6 most intense peaks (2θ from 10° to 90°), most intense first:
| d [Å] | intensity |
| --- | --- |
| 3.023 | 1000 |
| 3.269 | 689 |
| 1.836 | 643 |
| 2.311 | 421 |
| 1.437 | 275 |
| 2.530 | 264 |



Calculated powder X-ray diffraction pattern
Compound: Pr6Fe13Cu
Radiation: Cu Kα X-rays
Structure: a structure optimized by DFT (GGA-PBE)

Atomic structure:
```
Pr6Fe13Cu
1.0
-4.028 4.028 11.442
4.028 -4.028 11.442
4.028 4.028 -11.442
Pr Fe Cu
12 26 2
direct
0.024 0.524 0.172
0.110 0.110 0.000
0.147 0.976 0.500
0.353 0.853 0.828
0.390 0.390 0.000
0.476 0.647 0.500
0.524 0.353 0.500
0.610 0.610 0.000
0.647 0.147 0.172
0.853 0.024 0.500
0.890 0.890 0.000
0.976 0.476 0.828
0.000 0.500 0.500
0.019 0.291 0.500
0.067 0.211 0.278
0.118 0.618 0.856
0.209 0.481 0.500
0.211 0.933 0.144
0.238 0.738 0.856
0.262 0.118 0.500
0.289 0.433 0.722
0.291 0.791 0.272
0.382 0.238 0.500
0.433 0.711 0.144
0.481 0.981 0.272
0.500 0.000 0.500
0.519 0.019 0.728
0.567 0.289 0.856
0.618 0.762 0.500
0.709 0.209 0.728
0.711 0.567 0.278
0.738 0.882 0.500
0.762 0.262 0.144
0.789 0.067 0.856
0.791 0.519 0.500
0.882 0.382 0.144
0.933 0.789 0.722
0.981 0.709 0.500
0.250 0.250 0.000
0.750 0.750 0.000
```

The 6 most intense peaks (2θ from 10° to 90°), most intense first:
| d [Å] | intensity |
| --- | --- |
| 2.330 | 1000 |
| 2.831 | 840 |
| 2.547 | 837 |
| 3.258 | 761 |
| 1.582 | 526 |
| 2.555 | 447 |



Calculated powder X-ray diffraction pattern
Compound: Mg15C
Radiation: Cu Kα X-rays
Structure: a structure optimized by DFT (GGA-PBE)

Atomic structure:
```
Mg15C
1.0
6.306 0.000 0.000
-3.153 5.461 0.000
0.000 0.000 9.929
Mg C
15 1
direct
0.000 0.000 0.000
0.006 0.503 0.000
0.159 0.319 0.269
0.159 0.319 0.731
0.159 0.841 0.269
0.159 0.841 0.731
0.497 0.503 0.000
0.497 0.994 0.000
0.505 0.009 0.500
0.505 0.495 0.500
0.667 0.333 0.247
0.667 0.333 0.753
0.681 0.841 0.269
0.681 0.841 0.731
0.991 0.495 0.500
0.000 0.000 0.500
```

The 6 most intense peaks (2θ from 10° to 90°), most intense first:
| d [Å] | intensity |
| --- | --- |
| 2.392 | 1000 |
| 2.731 | 252 |
| 2.482 | 234 |
| 1.576 | 172 |
| 1.331 | 171 |
| 1.415 | 147 |



Calculated powder X-ray diffraction pattern
Compound: Ba3SbP
Radiation: Cu Kα X-rays
Structure: a structure optimized by DFT (GGA-PBE)

Atomic structure:
```
Ba3SbP
1.0
6.483 0.000 0.000
0.000 6.483 0.000
0.000 0.000 6.483
Ba Sb P
3 1 1
direct
0.000 0.000 0.500
0.000 0.500 0.000
0.500 0.000 0.000
0.000 0.000 0.000
0.500 0.500 0.500
```

The 6 most intense peaks (2θ from 10° to 90°), most intense first:
| d [Å] | intensity |
| --- | --- |
| 3.242 | 1000 |
| 6.483 | 829 |
| 2.292 | 760 |
| 3.743 | 600 |
| 2.899 | 486 |
| 1.450 | 354 |